Diffraction record for La11V4O26. The X-ray diffraction stick pattern is simulated, not measured: it uses a structure optimized by DFT (PBE+U) and a wavelength of 1.5418 Å.
Intensities are scaled so that the largest is 100.

The 10 most intense peaks (10° ≤ 2θ ≤ 90°), low angle first:
- 12.11°, rel. 27
- 26.65°, rel. 95
- 26.76°, rel. 100
- 27.96°, rel. 81
- 28.49°, rel. 85
- 31.20°, rel. 35
- 31.38°, rel. 50
- 32.87°, rel. 30
- 44.11°, rel. 39
- 45.27°, rel. 28

Structural model:
```
data_La11V4O26
_cell_length_a 7.1059
_cell_length_b 10.2663
_cell_length_c 10.3810
_cell_angle_alpha 77.37
_cell_angle_beta 71.59
_cell_angle_gamma 70.04
_symmetry_space_group_name_H-M 'P -1'
_symmetry_Int_Tables_number 2
_symmetry_space_group_name_Hall '-P 1'
loop_
_atom_site_label
_atom_site_fract_x
_atom_site_fract_y
_atom_site_fract_z
La1 0.0000 0.0000 0.0000
La2 0.0875 0.6571 0.8427
La3 0.2204 0.0160 0.5953
La4 0.3267 0.3596 0.3377
La5 0.3773 0.0279 0.1924
La6 0.4799 0.6692 0.0463
V1 0.0982 0.3188 0.8067
V2 0.2213 0.7274 0.4574
O1 0.0103 0.4666 0.6975
O2 0.0158 0.9071 0.8006
O3 0.0364 0.2687 0.5017
O4 0.1039 0.7368 0.0615
O5 0.1764 0.3938 0.9153
O6 0.1969 0.9073 0.4068
O7 0.2668 0.2708 0.1673
O8 0.2684 0.1540 0.7515
O9 0.3211 0.6828 0.6013
O10 0.3633 0.6321 0.3232
O11 0.3629 0.9191 0.0104
O12 0.4435 0.5801 0.8678
O13 0.4518 0.1067 0.3838
```